Calculated powder X-ray diffraction pattern
Compound: Na2Nb2O7
Radiation: λ = 1.5418 Å (Cu Kα)
Structure: a structure optimized by DFT (GGA-PBE)

Top 10 peaks for 2θ = 10–90°, low angle first:
7.865 Å, 11.25°, rel. 1000, (2 0 0)
7.786 Å, 11.36°, rel. 289, (0 0 2)
7.022 Å, 12.61°, rel. 466, (2 0 -2)
3.889 Å, 22.87°, rel. 331, (0 0 4)
3.631 Å, 24.52°, rel. 135, (3 1 0)
3.091 Å, 28.89°, rel. 574, (3 1 -4)
3.003 Å, 29.75°, rel. 541, (3 1 2)
2.830 Å, 31.61°, rel. 148, (6 0 -2)
2.307 Å, 39.05°, rel. 133, (5 1 2)
1.872 Å, 48.65°, rel. 156, (6 0 4)

```
data_Na2Nb2O7
_cell_length_a 16.999
_cell_length_b 5.032
_cell_length_c 16.829
_cell_angle_alpha 90.00
_cell_angle_beta 112.27
_cell_angle_gamma 90.00
_space_group_name_H-M_alt 'C 1 c 1'
_space_group_IT_number 9
_space_group_name_Hall 'C -2yc'
loop_
_atom_site_label
_atom_site_fract_x
_atom_site_fract_y
_atom_site_fract_z
Na1 0.000 0.107 0.000
Na2 0.087 0.309 0.246
Na3 0.166 0.393 0.474
Na4 0.332 0.131 0.985
Nb1 0.236 0.037 0.142
Nb2 0.296 0.456 0.320
Nb3 0.371 0.458 0.651
Nb4 0.430 0.039 0.829
O1 0.022 0.460 0.604
O2 0.034 0.418 0.898
O3 0.133 0.086 0.571
O4 0.144 0.042 0.869
O5 0.208 0.245 0.228
O6 0.228 0.428 0.876
O7 0.258 0.344 0.084
O8 0.293 0.254 0.732
O9 0.311 0.157 0.585
O10 0.355 0.155 0.387
O11 0.374 0.255 0.240
O12 0.408 0.345 0.888
O13 0.434 0.418 0.092
O14 0.457 0.245 0.743
```